For NaTl2ZnBr5, a DFT-relaxed cell (PBE, Alexandria) gives the simulated powder diffractogram in this record (Cu Kα X-rays).
Kinematic intensities with the Lorentz-polarization factor, no thermal factor.

Top 6 peaks for 10 to 90 degrees two-theta, by intensity:
two_theta, I (rel.)
28.76, 100
27.97, 44
27.13, 37
20.78, 34
36.17, 25
17.49, 25

Cell and atoms:
Lattice parameters (Å, degrees): 10.3557 10.3557 14.1398 90.00 90.00 156.53
Positions (direct):
1 Na 0.2038 0.7962 0.5000
2 Na 0.7962 0.2038 0.0000
3 Tl 0.1314 0.8686 0.7930
4 Tl 0.1365 0.8635 0.1424
5 Tl 0.8635 0.1365 0.6424
6 Tl 0.8686 0.1314 0.2930
7 Zn 0.4385 0.5615 0.8833
8 Zn 0.5615 0.4385 0.3833
9 Br 0.0412 0.9588 0.4795
10 Br 0.2962 0.7038 0.1427
11 Br 0.3209 0.6791 0.8501
12 Br 0.3471 0.6529 0.4748
13 Br 0.4986 0.5014 0.2408
14 Br 0.5014 0.4986 0.7408
15 Br 0.6529 0.3471 0.9748
16 Br 0.6791 0.3209 0.3501
17 Br 0.7038 0.2962 0.6427
18 Br 0.9588 0.0412 0.9795